This entry pairs a crystal structure of LiHo5Cd4 with its computed PXRD pattern. Radiation: Cu Ka. Structure: the GGA-PBE geometry in Alexandria.
Lines closer than 0.1° are merged.

Crystal structure
```
LiHo5Cd4
1.0
3.7235 0.0000 0.0000
0.0000 3.7235 0.0000
0.0000 0.0000 18.6067
Li Ho Cd
1 5 4
Cartesian
0.0000 0.0000 0.0000 Li
1.8617 1.8617 1.8551 Ho
1.8617 1.8617 5.5642 Ho
1.8617 1.8617 9.3034 Ho
1.8617 1.8617 13.0426 Ho
1.8617 1.8617 16.7516 Ho
0.0000 0.0000 3.6782 Cd
0.0000 0.0000 7.4299 Cd
0.0000 0.0000 11.1769 Cd
0.0000 0.0000 14.9286 Cd
```

Largest 12 diffraction maxima, by intensity, 2θ = 5–70°:
2theta, d/Å, I (rel.), h k l
34.06, 2.632, 100.0, 1 1 0
60.96, 1.520, 36.6, 2 1 5
48.93, 1.861, 17.9, 2 0 0
23.90, 3.723, 9.0, 0 0 5
55.17, 1.665, 4.1, 1 0 10
42.04, 2.149, 2.8, 1 1 5
9.51, 9.303, 2.3, 0 0 2
24.38, 3.651, 1.1, 1 0 1
14.28, 6.202, 1.1, 0 0 3
30.76, 2.907, 1.0, 1 0 4
25.77, 3.457, 1.0, 1 0 2
27.95, 3.192, 0.8, 1 0 3